# 1
Diffraction record for CsTiI4. The powder diffraction line list is simulated, not measured: it uses DFT lattice parameters and positions (GGA-PBE) and Cu Kα (weighted mean of Kα1 and Kα2).
Neutral-atom scattering factors, no anomalous dispersion.

Principal peaks in the range 5° ≤ 2θ ≤ 70°, in order of falling intensity:
(hkl)  d [Å]  Rel. int.
4 0 1  3.381  100
2 0 -2  3.541  87
2 2 0  3.655  68
2 2 1  3.127  67
6 0 -1  2.918  61
4 2 -1  2.883  54
0 2 2  2.648  52
1 1 0  7.310  34
2 0 3  2.148  29
4 2 -2  2.450  27

Crystal structure
Lattice parameters (Å, degrees): 17.8487 8.0543 7.2069 90.00 102.70 90.00
Space group C2/m (No. 12)
Symmetry-distinct sites (fractional):
Cs (0.1986, 0.0000, 0.2101) x4
Ti (0.0192, 0.5000, 0.3200) x4
I (0.0000, 0.2719, 0.0000) x4
I (0.0987, 0.2775, 0.6004) x8
I (0.1891, 0.5000, 0.2329) x4


# 2
Diffraction record for Cd2BiTe. The powder diffraction line list is simulated, not measured: it uses DFT lattice parameters and positions (GGA-PBE) and Cu Kα (weighted mean of Kα1 and Kα2).
Neutral-atom scattering factors, no anomalous dispersion.

Principal peaks in the range 5° ≤ 2θ ≤ 70°, in order of falling intensity:
(hkl)  d [Å]  Rel. int.
1 1 2  3.857  100
2 0 4  2.339  52
3 1 2  2.043  36
2 2 0  2.409  29
4 2 4  1.377  19
1 1 6  1.960  16
3 1 6  1.520  14
4 0 0  1.703  10
3 3 2  1.558  7
1 0 1  6.022  4

Crystal structure
Lattice parameters (Å, degrees): 6.8137 6.8137 12.8729 90.00 90.00 90.00
Space group I-42d (No. 122)
Symmetry-distinct sites (fractional):
Cd (0.2435, 0.2500, 0.1250) x8
Bi (0.0000, 0.0000, 0.5000) x4
Te (0.0000, 0.0000, 0.0000) x4


# 3
Diffraction record for NaSrAc. The powder diffraction line list is simulated, not measured: it uses DFT lattice parameters and positions (GGA-PBE) and Cu Kα (weighted mean of Kα1 and Kα2).
Neutral-atom scattering factors, no anomalous dispersion.

Principal peaks in the range 5° ≤ 2θ ≤ 70°, in order of falling intensity:
(hkl)  d [Å]  Rel. int.
1 0 1  3.288  100
0 0 1  9.888  63
0 1 2  2.848  54
1 1 3  1.718  32
1 0 4  2.016  21
1 0 0  3.484  19
1 1 0  2.011  16
0 0 2  4.944  15
1 0 3  2.394  14
0 2 1  1.716  12

Crystal structure
Lattice parameters (Å, degrees): 4.0229 4.0229 9.8884 90.00 90.00 120.00
Space group P3m1 (No. 156)
Symmetry-distinct sites (fractional):
Na (0.0000, 0.0000, 0.0000) x1
Sr (0.6667, 0.3333, 0.3375) x1
Ac (0.3333, 0.6667, 0.6755) x1


# 4
Diffraction record for Ac3Sm3Y. The powder diffraction line list is simulated, not measured: it uses DFT lattice parameters and positions (GGA-PBE) and Cu Kα (weighted mean of Kα1 and Kα2).
Neutral-atom scattering factors, no anomalous dispersion.

Principal peaks in the range 5° ≤ 2θ ≤ 70°, in order of falling intensity:
(hkl)  d [Å]  Rel. int.
0 0 6  3.087  100
2 1 4  2.673  51
2 1 10  1.612  44
3 -2 8  1.890  37
0 0 12  1.543  13
1 1 3  3.886  3
0 1 2  6.326  2
1 0 1  7.845  2
1 1 0  5.000  1
1 0 4  4.085  1

Crystal structure
Lattice parameters (Å, degrees): 9.9992 9.9992 18.5303 90.00 90.00 120.00
Space group R-3 (No. 148, hexagonal axes)
Symmetry-distinct sites (fractional):
Ac (0.0429, 0.2405, 0.4159) x18
Sm (0.0506, 0.2341, 0.9165) x18
Y (0.0000, 0.0000, 0.2437) x6